Diffraction record for Mg14TiFeO16. The powder diffractogram is theoretical, not measured: it uses a DFT-relaxed cell (PBE+U, the Materials Project) and Cu Kα, 1.54184 Å.
Lines closer than 0.1° are merged.

Peak list (10 most intense, 2θ from 15° to 90°, sorted by position)
d [Å], two_theta, I (rel.), hkl
4.300, 20.66, 4, 2 0 0
3.485, 25.56, 4, 1 1 1
2.474, 36.32, 24, 2 2 1
2.150, 42.02, 100, 4 0 0
2.127, 42.51, 48, 0 0 2
1.520, 60.94, 28, 4 4 0
1.512, 61.31, 55, 4 0 2
1.295, 73.05, 9, 6 2 1
1.285, 73.73, 5, 2 2 3
1.237, 77.12, 25, 4 4 2

Crystal structure
abc: 8.6003 8.6003 4.2533
angles: 90.00 90.00 90.00
Sites, in units of the cell vectors:
Mg 0.0000 0.2522 0.0000
Mg 0.0000 0.5000 0.5000
Mg 0.0000 0.7478 0.0000
Mg 0.2473 0.5000 0.0000
Mg 0.2489 0.2489 0.5000
Mg 0.2489 0.7511 0.5000
Mg 0.2522 0.0000 0.0000
Mg 0.5000 0.0000 0.5000
Mg 0.5000 0.2473 0.0000
Mg 0.5000 0.7527 0.0000
Mg 0.7478 0.0000 0.0000
Mg 0.7511 0.2489 0.5000
Mg 0.7511 0.7511 0.5000
Mg 0.7527 0.5000 0.0000
Ti 0.5000 0.5000 0.5000
Fe 0.0000 0.0000 0.5000
O 0.0000 0.0000 0.0000
O 0.0000 0.2552 0.5000
O 0.0000 0.5000 0.0000
O 0.0000 0.7448 0.5000
O 0.2442 0.5000 0.5000
O 0.2499 0.2499 0.0000
O 0.2499 0.7501 0.0000
O 0.2552 0.0000 0.5000
O 0.5000 0.0000 0.0000
O 0.5000 0.2442 0.5000
O 0.5000 0.5000 0.0000
O 0.5000 0.7558 0.5000
O 0.7448 0.0000 0.5000
O 0.7501 0.2499 0.0000
O 0.7501 0.7501 0.0000
O 0.7558 0.5000 0.5000